Starting from the GGA-PBE geometry in Alexandria, the powder diffractogram of PrDyErRu was calculated for Cu Ka.
No peak broadening, texture or thermal motion is included.

Principal peaks in the range 2θ from 5° to 70°, by angle:
2θ = 27.7°, rel. 24
2θ = 32.7°, rel. 100
2θ = 36.9°, rel. 58
2θ = 39.7°, rel. 25
2θ = 48.0°, rel. 38
2θ = 63.9°, rel. 29

```
data_PrDyErRu
_chemical_formula_sum 'Pr1 Dy1 Er1 Ru1'
_cell_length_a 3.442
_cell_length_b 3.442
_cell_length_c 9.064
_cell_angle_alpha 90.00
_cell_angle_beta 90.00
_cell_angle_gamma 90.00
_space_group_name_H-M_alt 'P 1'
_space_group_IT_number 1
_space_group_name_Hall 'P 1'
loop_
_atom_site_label
_atom_site_fract_x
_atom_site_fract_y
_atom_site_fract_z
Pr1 0.000 0.000 0.000
Dy1 0.500 0.500 0.677
Er1 0.500 0.500 0.319
Ru1 0.000 0.000 0.496
```